1.
The following is a simulated PXRD pattern of Mn5Cu3Cl16. It was derived from a PBE-relaxed structure, using Cu Kα X-rays.
No peak broadening, texture or thermal motion is included.

Main lines, by angle (2θ from 15° to 90°):
- 2θ = 15.52°, rel. 68
- 2θ = 16.41°, rel. 73
- 2θ = 24.38°, rel. 29
- 2θ = 29.63°, rel. 39
- 2θ = 31.34°, rel. 62
- 2θ = 33.14°, rel. 100
- 2θ = 35.14°, rel. 47
- 2θ = 37.54°, rel. 65
- 2θ = 49.57°, rel. 70
- 2θ = 51.13°, rel. 40

Atomic structure:
a b c (Å): 7.413 7.413 12.234
angles (deg): 96.81 96.81 57.63
Fractional positions:
Mn 0.000 0.000 0.000
Mn 0.340 0.844 0.492
Mn 0.504 0.504 0.224
Mn 0.816 0.816 0.752
Mn 0.844 0.340 0.492
Cu 0.366 0.366 0.444
Cu 0.497 0.989 0.000
Cu 0.989 0.497 0.000
Cl 0.018 0.018 0.590
Cl 0.139 0.691 0.855
Cl 0.164 0.164 0.901
Cl 0.191 0.684 0.342
Cl 0.192 0.192 0.399
Cl 0.336 0.827 0.116
Cl 0.340 0.340 0.104
Cl 0.500 0.500 0.588
Cl 0.520 0.983 0.632
Cl 0.660 0.660 0.373
Cl 0.675 0.675 0.872
Cl 0.684 0.191 0.342
Cl 0.691 0.139 0.855
Cl 0.827 0.336 0.116
Cl 0.836 0.836 0.094
Cl 0.983 0.520 0.632

=====

2.
The following is a simulated PXRD pattern of NaMnCu2Cl6. It was derived from a PBE-relaxed structure, using Cu Kα X-rays.
No peak broadening, texture or thermal motion is included.

Main lines, by angle (2θ from 15° to 90°):
- 2θ = 20.53°, rel. 62
- 2θ = 21.49°, rel. 57
- 2θ = 23.98°, rel. 92
- 2θ = 27.23°, rel. 100
- 2θ = 27.61°, rel. 49
- 2θ = 33.81°, rel. 93
- 2θ = 46.81°, rel. 49
- 2θ = 47.80°, rel. 100
- 2θ = 49.36°, rel. 83
- 2θ = 50.35°, rel. 46

Atomic structure:
a b c (Å): 8.328 8.328 6.551
angles (deg): 96.80 96.80 88.72
Fractional positions:
Na 0.087 0.913 0.750
Na 0.913 0.087 0.250
Mn 0.266 0.734 0.250
Mn 0.734 0.266 0.750
Cu 0.238 0.407 0.703
Cu 0.407 0.238 0.203
Cu 0.593 0.762 0.797
Cu 0.762 0.593 0.297
Cl 0.018 0.229 0.645
Cl 0.153 0.623 0.915
Cl 0.229 0.018 0.145
Cl 0.280 0.455 0.373
Cl 0.377 0.847 0.585
Cl 0.455 0.280 0.873
Cl 0.545 0.720 0.127
Cl 0.623 0.153 0.415
Cl 0.720 0.545 0.627
Cl 0.771 0.982 0.855
Cl 0.847 0.377 0.085
Cl 0.982 0.771 0.355

=====

3.
The following is a simulated PXRD pattern of Rb3Mn2CuCl8. It was derived from a PBE-relaxed structure, using Cu Kα X-rays.
No peak broadening, texture or thermal motion is included.

Main lines, by angle (2θ from 15° to 90°):
- 2θ = 23.92°, rel. 40
- 2θ = 24.72°, rel. 100
- 2θ = 28.91°, rel. 16
- 2θ = 30.23°, rel. 26
- 2θ = 32.34°, rel. 24
- 2θ = 34.67°, rel. 66
- 2θ = 43.05°, rel. 18
- 2θ = 43.52°, rel. 21
- 2θ = 48.98°, rel. 19
- 2θ = 50.69°, rel. 34

Atomic structure:
a b c (Å): 7.203 7.203 9.266
angles (deg): 90.00 90.00 120.00
Fractional positions:
Rb 0.000 0.000 0.000
Rb 0.333 0.667 0.629
Rb 0.667 0.333 0.371
Mn 0.333 0.667 0.219
Mn 0.667 0.333 0.781
Cu 0.000 0.000 0.500
Cl 0.161 0.323 0.328
Cl 0.161 0.839 0.328
Cl 0.323 0.161 0.672
Cl 0.333 0.667 0.972
Cl 0.667 0.333 0.028
Cl 0.677 0.839 0.328
Cl 0.839 0.161 0.672
Cl 0.839 0.677 0.672

=====

4.
The following is a simulated PXRD pattern of MnTl4Cu3Cl12. It was derived from a PBE-relaxed structure, using Cu Kα X-rays.
No peak broadening, texture or thermal motion is included.

Main lines, by angle (2θ from 15° to 90°):
- 2θ = 18.09°, rel. 18
- 2θ = 25.69°, rel. 100
- 2θ = 31.60°, rel. 44
- 2θ = 36.64°, rel. 53
- 2θ = 45.29°, rel. 45
- 2θ = 52.79°, rel. 35
- 2θ = 59.61°, rel. 20
- 2θ = 62.84°, rel. 17
- 2θ = 72.05°, rel. 23
- 2θ = 89.32°, rel. 16

Atomic structure:
a b c (Å): 8.495 8.495 8.495
angles (deg): 109.47 109.47 109.47
Fractional positions:
Mn 0.000 0.000 0.000
Tl 0.000 0.000 0.500
Tl 0.000 0.500 0.000
Tl 0.500 0.000 0.000
Tl 0.500 0.500 0.500
Cu 0.000 0.500 0.500
Cu 0.500 0.000 0.500
Cu 0.500 0.500 0.000
Cl 0.000 0.240 0.240
Cl 0.000 0.760 0.760
Cl 0.240 0.000 0.240
Cl 0.240 0.240 0.000
Cl 0.250 0.500 0.750
Cl 0.250 0.750 0.500
Cl 0.500 0.250 0.750
Cl 0.500 0.750 0.250
Cl 0.750 0.250 0.500
Cl 0.750 0.500 0.250
Cl 0.760 0.000 0.760
Cl 0.760 0.760 0.000

=====

Please write out number 1 again, unchanged.
The following is a simulated PXRD pattern of Mn5Cu3Cl16. It was derived from a PBE-relaxed structure, using Cu Kα X-rays.
No peak broadening, texture or thermal motion is included.

Main lines, by angle (2θ from 15° to 90°):
- 2θ = 15.52°, rel. 68
- 2θ = 16.41°, rel. 73
- 2θ = 24.38°, rel. 29
- 2θ = 29.63°, rel. 39
- 2θ = 31.34°, rel. 62
- 2θ = 33.14°, rel. 100
- 2θ = 35.14°, rel. 47
- 2θ = 37.54°, rel. 65
- 2θ = 49.57°, rel. 70
- 2θ = 51.13°, rel. 40

Atomic structure:
a b c (Å): 7.413 7.413 12.234
angles (deg): 96.81 96.81 57.63
Fractional positions:
Mn 0.000 0.000 0.000
Mn 0.340 0.844 0.492
Mn 0.504 0.504 0.224
Mn 0.816 0.816 0.752
Mn 0.844 0.340 0.492
Cu 0.366 0.366 0.444
Cu 0.497 0.989 0.000
Cu 0.989 0.497 0.000
Cl 0.018 0.018 0.590
Cl 0.139 0.691 0.855
Cl 0.164 0.164 0.901
Cl 0.191 0.684 0.342
Cl 0.192 0.192 0.399
Cl 0.336 0.827 0.116
Cl 0.340 0.340 0.104
Cl 0.500 0.500 0.588
Cl 0.520 0.983 0.632
Cl 0.660 0.660 0.373
Cl 0.675 0.675 0.872
Cl 0.684 0.191 0.342
Cl 0.691 0.139 0.855
Cl 0.827 0.336 0.116
Cl 0.836 0.836 0.094
Cl 0.983 0.520 0.632

=====

> What is the formula in the fourth record?

MnTl4Cu3Cl12